Diffraction record for U6Cu2Se13. The XRD peak list is calculated, not measured: it uses a crystal structure in the Materials Project, relaxed with GGA-PBE and Cu Kα (λ = 1.5418 Å).
Neutral-atom scattering factors, no anomalous dispersion.

Largest 10 diffraction maxima, most intense first, 10 to 90 degrees two-theta:
2theta, I/Imax
24.3, 100
41.7, 68
24.5, 57
32.8, 35
41.4, 34
16.9, 28
35.8, 24
33.6, 23
68.8, 23
35.6, 23

Atomic structure:
Cell: 8.4890 8.4890 14.9709 Å, 98.63 98.63 100.87°
Fractional positions:
U 0.0118 0.6676 0.8880
U 0.1564 0.4951 0.6453
U 0.1615 0.1780 0.3581
U 0.1780 0.1615 0.8581
U 0.3324 0.9882 0.6120
U 0.4951 0.1564 0.1453
U 0.5049 0.8436 0.8547
U 0.6676 0.0118 0.3880
U 0.8220 0.8385 0.1419
U 0.8385 0.8220 0.6419
U 0.8436 0.5049 0.3547
U 0.9882 0.3324 0.1120
Cu 0.3172 0.6085 0.1293
Cu 0.3915 0.6828 0.3707
Cu 0.6085 0.3172 0.6293
Cu 0.6828 0.3915 0.8707
Se 0.0620 0.6701 0.0843
Se 0.0618 0.7107 0.5240
Se 0.0682 0.1450 0.6676
Se 0.1450 0.0682 0.1676
Se 0.1572 0.4881 0.2980
Se 0.1710 0.8290 0.7500
Se 0.2788 0.5129 0.8371
Se 0.2893 0.9382 0.9760
Se 0.3136 0.3495 0.0479
Se 0.3299 0.9380 0.4157
Se 0.3495 0.3136 0.5479
Se 0.4871 0.7212 0.6629
Se 0.4881 0.1572 0.7980
Se 0.5119 0.8428 0.2020
Se 0.5129 0.2788 0.3371
Se 0.6505 0.6864 0.4521
Se 0.6701 0.0620 0.5843
Se 0.6864 0.6505 0.9521
Se 0.7107 0.0618 0.0240
Se 0.7212 0.4871 0.1629
Se 0.8290 0.1710 0.2500
Se 0.8428 0.5119 0.7020
Se 0.8550 0.9318 0.8324
Se 0.9318 0.8550 0.3324
Se 0.9382 0.2893 0.4760
Se 0.9380 0.3299 0.9157

=====

Diffraction record for VCu3Se4. The XRD peak list is calculated, not measured: it uses a crystal structure in the Materials Project, relaxed with GGA-PBE and Cu Kα (λ = 1.5418 Å).
Neutral-atom scattering factors, no anomalous dispersion.

Largest 10 diffraction maxima, most intense first, 10 to 90 degrees two-theta:
2theta, I/Imax
27.3, 100
45.4, 96
53.8, 43
15.7, 43
83.9, 29
73.0, 17
66.1, 15
35.5, 13
48.3, 9
58.9, 7

Atomic structure:
Cell: 5.6505 5.6505 5.6505 Å, 90.00 90.00 90.00°
Fractional positions:
V 0.0000 0.0000 0.0000
Cu 0.0000 0.0000 0.5000
Cu 0.0000 0.5000 0.0000
Cu 0.5000 0.0000 0.0000
Se 0.2420 0.2420 0.2420
Se 0.2420 0.7580 0.7580
Se 0.7580 0.2420 0.7580
Se 0.7580 0.7580 0.2420

=====

Diffraction record for Cu2WSe4. The XRD peak list is calculated, not measured: it uses a crystal structure in the Materials Project, relaxed with GGA-PBE and Cu Kα (λ = 1.5418 Å).
Neutral-atom scattering factors, no anomalous dispersion.

Largest 10 diffraction maxima, most intense first, 10 to 90 degrees two-theta:
2theta, I/Imax
17.6, 100
27.4, 98
45.4, 96
15.5, 93
35.7, 47
45.8, 46
84.4, 30
54.2, 28
36.7, 25
28.4, 24

Atomic structure:
Cell: 5.6069 5.6069 11.4075 Å, 90.00 90.00 90.00°
Fractional positions:
Cu 0.0000 0.5000 0.0000
Cu 0.0000 0.5000 0.5000
Cu 0.5000 0.0000 0.0000
Cu 0.5000 0.0000 0.5000
W 0.0000 0.0000 0.0000
W 0.5000 0.5000 0.5000
Se 0.2414 0.2414 0.8756
Se 0.2414 0.7586 0.1244
Se 0.2586 0.2586 0.3756
Se 0.2586 0.7414 0.6244
Se 0.7414 0.2586 0.6244
Se 0.7414 0.7414 0.3756
Se 0.7586 0.2414 0.1244
Se 0.7586 0.7586 0.8756

=====

Diffraction record for CuWSe2. The XRD peak list is calculated, not measured: it uses a crystal structure in the Materials Project, relaxed with GGA-PBE and Cu Kα (λ = 1.5418 Å).
Neutral-atom scattering factors, no anomalous dispersion.

Largest 10 diffraction maxima, most intense first, 10 to 90 degrees two-theta:
2theta, I/Imax
40.5, 100
31.4, 42
37.4, 33
55.9, 33
34.9, 32
71.2, 20
14.9, 18
52.0, 14
33.0, 13
75.0, 12

Atomic structure:
Cell: 3.2918 3.2918 17.8543 Å, 90.00 90.00 120.00°
Fractional positions:
Cu 0.3333 0.6667 0.0409
Cu 0.6667 0.3333 0.9591
W 0.3333 0.6667 0.2667
W 0.6667 0.3333 0.7333
Se 0.3333 0.6667 0.6386
Se 0.3333 0.6667 0.8294
Se 0.6667 0.3333 0.1706
Se 0.6667 0.3333 0.3614

=====

Diffraction record for Cu2WSe4. The XRD peak list is calculated, not measured: it uses a crystal structure in the Materials Project, relaxed with GGA-PBE and Cu Kα (λ = 1.5418 Å).
Neutral-atom scattering factors, no anomalous dispersion.

Largest 10 diffraction maxima, most intense first, 10 to 90 degrees two-theta:
2theta, I/Imax
27.9, 100
46.7, 48
54.3, 30
15.7, 30
22.8, 26
45.6, 26
85.1, 17
56.2, 13
39.5, 13
75.1, 11

Atomic structure:
Cell: 5.6270 5.6270 5.3910 Å, 90.00 90.00 90.00°
Fractional positions:
Cu 0.0000 0.5000 0.0000
Cu 0.5000 0.0000 0.0000
W 0.0000 0.0000 0.5000
Se 0.2503 0.2503 0.2619
Se 0.2503 0.7497 0.7381
Se 0.7497 0.2503 0.7381
Se 0.7497 0.7497 0.2619

=====

Diffraction record for SrCuSi. The XRD peak list is calculated, not measured: it uses a crystal structure in the Materials Project, relaxed with GGA-PBE and Cu Kα (λ = 1.5418 Å).
Neutral-atom scattering factors, no anomalous dispersion.

Largest 10 diffraction maxima, most intense first, 10 to 90 degrees two-theta:
2theta, I/Imax
31.5, 100
43.7, 34
59.7, 26
54.9, 20
72.6, 17
38.6, 16
24.8, 12
65.4, 11
82.0, 6
80.3, 5

Atomic structure:
Cell: 4.1404 4.1404 4.6646 Å, 90.00 90.00 120.00°
Fractional positions:
Sr 0.0000 0.0000 0.0000
Cu 0.3333 0.6667 0.5000
Si 0.6667 0.3333 0.5000

=====

Diffraction record for SrCuSi. The XRD peak list is calculated, not measured: it uses a crystal structure in the Materials Project, relaxed with GGA-PBE and Cu Kα (λ = 1.5418 Å).
Neutral-atom scattering factors, no anomalous dispersion.

Largest 10 diffraction maxima, most intense first, 10 to 90 degrees two-theta:
2theta, I/Imax
31.7, 100
44.2, 36
60.1, 29
38.5, 22
55.4, 20
73.5, 17
65.4, 12
26.9, 10
25.1, 7
82.4, 6

Atomic structure:
Cell: 4.0942 4.0942 9.3491 Å, 90.00 90.00 120.00°
Fractional positions:
Sr 0.0000 0.0000 0.0000
Sr 0.0000 0.0000 0.5000
Cu 0.3333 0.6667 0.2500
Cu 0.6667 0.3333 0.7500
Si 0.3333 0.6667 0.7500
Si 0.6667 0.3333 0.2500

=====

Diffraction record for SrCu9Si4. The XRD peak list is calculated, not measured: it uses a crystal structure in the Materials Project, relaxed with GGA-PBE and Cu Kα (λ = 1.5418 Å).
Neutral-atom scattering factors, no anomalous dispersion.

Largest 10 diffraction maxima, most intense first, 10 to 90 degrees two-theta:
2theta, I/Imax
38.2, 100
46.5, 93
46.3, 49
34.7, 28
47.3, 22
38.0, 20
25.6, 18
30.8, 18
50.0, 15
46.9, 13

Atomic structure:
Cell: 8.1875 8.1875 8.1875 Å, 120.26 120.26 89.55°
Fractional positions:
Sr 0.2500 0.2500 0.0000
Sr 0.7500 0.7500 0.0000
Cu 0.0000 0.5000 0.5000
Cu 0.0589 0.5589 0.2521
Cu 0.0643 0.7965 0.8609
Cu 0.1932 0.9411 0.5000
Cu 0.2035 0.0643 0.2678
Cu 0.2965 0.5643 0.8609
Cu 0.3068 0.8068 0.7479
Cu 0.4357 0.2965 0.7322
Cu 0.4411 0.6932 0.5000
Cu 0.5000 0.0000 0.5000
Cu 0.5589 0.3068 0.5000
Cu 0.5643 0.7035 0.2678
Cu 0.6932 0.1932 0.2521
Cu 0.7035 0.4357 0.1391
Cu 0.7965 0.9357 0.7322
Cu 0.8068 0.0589 0.5000
Cu 0.9357 0.2035 0.1391
Cu 0.9411 0.4411 0.7479
Si 0.0597 0.2081 0.5000
Si 0.2081 0.7081 0.1484
Si 0.2919 0.4403 0.5000
Si 0.4403 0.9403 0.1484
Si 0.5597 0.0597 0.8516
Si 0.7081 0.5597 0.5000
Si 0.7919 0.2919 0.8516
Si 0.9403 0.7919 0.5000